Calculated powder diffractogram of Sc2Ga2Ir for Cu Kα (λ = 1.5418 Å), from a cell relaxed with GGA-PBE.
Intensities are scaled so that the largest is 100.

The 12 most intense peaks (2θ = 10–90°), most intense first:
| 2θ/deg | intensity |
| --- | --- |
| 42.58 | 100 |
| 37.72 | 88 |
| 35.18 | 88 |
| 22.65 | 76 |
| 48.76 | 71 |
| 29.53 | 50 |
| 64.68 | 47 |
| 18.69 | 44 |
| 37.90 | 36 |
| 46.26 | 32 |
| 26.55 | 28 |
| 76.28 | 26 |

Cell and atoms:
```
data_Sc2Ga2Ir
_symmetry_space_group_name_H-M 'P 4/m n c'
_symmetry_Int_Tables_number 128
_symmetry_space_group_name_Hall '-P 4 2n'
_cell_length_a 6.714
_cell_length_b 6.714
_cell_length_c 7.850
_cell_angle_alpha 90.00
_cell_angle_beta 90.00
_cell_angle_gamma 90.00
loop_
_atom_site_label
_atom_site_fract_x
_atom_site_fract_y
_atom_site_fract_z
_atom_site_occupancy
Sc1 0.171 0.322 0.000 1
Ga1 0.132 0.632 0.250 1
Ir1 0.000 0.000 0.228 1
```